Simulated PXRD pattern
Compound: SrTiO3
Radiation: a wavelength of 1.5418 Å
Structure: the PBE geometry in the Materials Project
Lines closer than 0.1° are merged.

Cell and atoms:
```
5
Lattice="3.9451 0.0000 0.0000 0.0000 3.9451 0.0000 0.0000 0.0000 3.9451" Properties=species:S:1:pos:R:3 pbc="T T T"
Sr 0.0000 0.0000 0.0000
Ti 1.9726 1.9726 1.9726
O 0.0000 1.9726 1.9726
O 1.9726 0.0000 1.9726
O 1.9726 1.9726 0.0000
```

Principal peaks in the range 2θ = 15–90°, in order of falling intensity:
| 2theta | d_spacing | I/Imax |
| --- | --- | --- |
| 32.09 | 2.790 | 100 |
| 46.01 | 1.973 | 41 |
| 57.20 | 1.611 | 38 |
| 67.11 | 1.395 | 24 |
| 39.57 | 2.278 | 21 |
| 76.33 | 1.248 | 16 |

---

Simulated PXRD pattern
Compound: MgHg22N6
Radiation: a wavelength of 1.5418 Å
Structure: the PBE geometry in the Materials Project
Lines closer than 0.1° are merged.

Cell and atoms:
```
29
Lattice="-3.7221 3.7221 12.7503 3.7221 -3.7221 12.7503 3.7221 3.7221 -12.7503" Properties=species:S:1:pos:R:3 pbc="T T T"
Mg 0.0000 0.0000 0.0000
Hg 5.2053 -0.8186 3.7731
Hg 4.3820 1.4883 -1.6064
Hg 2.9035 -1.4833 8.9772
Hg 3.7221 0.0000 6.3752
Hg 0.0000 0.0000 6.5727
Hg 2.2388 0.8186 3.7731
Hg 4.3820 1.4883 1.6064
Hg 1.4883 3.0621 -1.6064
Hg 0.0000 0.0000 9.2786
Hg -0.8186 2.2388 3.7731
Hg 1.4883 3.0621 1.6064
Hg 2.2338 0.6600 11.1439
Hg 4.5407 1.4833 8.9772
Hg 0.0000 0.0000 16.2220
Hg 2.2338 0.6600 14.3567
Hg -0.6600 2.2338 11.1439
Hg 1.4833 2.9035 8.9772
Hg 0.0000 0.0000 18.9279
Hg 0.0000 3.7221 6.3752
Hg 0.8186 5.2053 3.7731
Hg -0.6600 2.2338 14.3567
Hg -1.4833 4.5407 8.9772
N 5.3699 0.4776 0.0000
N 0.0000 0.0000 4.3745
N 0.4776 2.0742 0.0000
N 3.2444 1.6479 12.7503
N 0.0000 0.0000 21.1261
N -1.6479 3.2444 12.7503
```

Principal peaks in the range 2θ = 15–90°, in order of falling intensity:
| 2theta | d_spacing | I/Imax |
| --- | --- | --- |
| 28.80 | 3.100 | 100 |
| 36.56 | 2.458 | 94 |
| 38.23 | 2.354 | 50 |
| 35.19 | 2.550 | 32 |
| 68.03 | 1.378 | 30 |
| 55.18 | 1.665 | 26 |

---

Simulated PXRD pattern
Compound: LiPr2Ga
Radiation: a wavelength of 1.5418 Å
Structure: the PBE geometry in the Materials Project
Lines closer than 0.1° are merged.

Cell and atoms:
```
16
Lattice="7.5206 0.0000 0.0000 0.0000 7.5206 0.0000 0.0000 0.0000 7.5206" Properties=species:S:1:pos:R:3 pbc="T T T"
Li 0.0000 0.0000 0.0000
Li 0.0000 3.7603 3.7603
Li 3.7603 0.0000 3.7603
Li 3.7603 3.7603 0.0000
Pr 1.8802 1.8802 1.8802
Pr 1.8802 1.8802 5.6405
Pr 1.8802 5.6405 1.8802
Pr 1.8802 5.6405 5.6405
Pr 5.6405 1.8802 1.8802
Pr 5.6405 1.8802 5.6405
Pr 5.6405 5.6405 1.8802
Pr 5.6405 5.6405 5.6405
Ga 0.0000 0.0000 3.7603
Ga 0.0000 3.7603 0.0000
Ga 3.7603 0.0000 0.0000
Ga 3.7603 3.7603 3.7603
```

Principal peaks in the range 2θ = 15–90°, in order of falling intensity:
| 2theta | d_spacing | I/Imax |
| --- | --- | --- |
| 33.71 | 2.659 | 100 |
| 23.66 | 3.760 | 40 |
| 60.29 | 1.535 | 37 |
| 48.41 | 1.880 | 18 |
| 54.57 | 1.682 | 16 |
| 80.83 | 1.189 | 16 |

---

Simulated PXRD pattern
Compound: HfRh3
Radiation: a wavelength of 1.5418 Å
Structure: the PBE geometry in the Materials Project
Lines closer than 0.1° are merged.

Cell and atoms:
```
4
Lattice="3.9523 0.0000 0.0000 0.0000 3.9523 0.0000 0.0000 0.0000 3.9523" Properties=species:S:1:pos:R:3 pbc="T T T"
Hf 0.0000 0.0000 0.0000
Rh 0.0000 1.9761 1.9761
Rh 1.9761 0.0000 1.9761
Rh 1.9761 1.9761 0.0000
```

Principal peaks in the range 2θ = 15–90°, in order of falling intensity:
| 2theta | d_spacing | I/Imax |
| --- | --- | --- |
| 39.49 | 2.282 | 100 |
| 45.92 | 1.976 | 49 |
| 80.62 | 1.192 | 37 |
| 66.97 | 1.397 | 31 |
| 85.02 | 1.141 | 11 |
| 22.50 | 3.952 | 6 |

---

Copy entry 4 word for word.
Simulated PXRD pattern
Compound: HfRh3
Radiation: a wavelength of 1.5418 Å
Structure: the PBE geometry in the Materials Project
Lines closer than 0.1° are merged.

Cell and atoms:
```
4
Lattice="3.9523 0.0000 0.0000 0.0000 3.9523 0.0000 0.0000 0.0000 3.9523" Properties=species:S:1:pos:R:3 pbc="T T T"
Hf 0.0000 0.0000 0.0000
Rh 0.0000 1.9761 1.9761
Rh 1.9761 0.0000 1.9761
Rh 1.9761 1.9761 0.0000
```

Principal peaks in the range 2θ = 15–90°, in order of falling intensity:
| 2theta | d_spacing | I/Imax |
| --- | --- | --- |
| 39.49 | 2.282 | 100 |
| 45.92 | 1.976 | 49 |
| 80.62 | 1.192 | 37 |
| 66.97 | 1.397 | 31 |
| 85.02 | 1.141 | 11 |
| 22.50 | 3.952 | 6 |

---

Q: Which formula does entry 1 have?
A: SrTiO3